# V4Bi6PbO20
Computed powder XRD pattern, Cu Kα (weighted mean of Kα1 and Kα2). Input: a cell relaxed with GGA+U.

Crystal structure
Cell lengths 7.2552, 8.1188, 9.4477 Å; angles 106.08, 94.45, 111.72 degrees
Space group P-1 (No. 2)
Asymmetric unit:
V  0.0473  0.2714  0.2535 (multiplicity 2)
V  0.3461  0.3924  0.7582 (multiplicity 2)
Bi  0.2024  0.7144  0.1726 (multiplicity 2)
Bi  0.3448  0.1282  0.0184 (multiplicity 2)
Bi  0.4398  0.8072  0.5888 (multiplicity 2)
Pb  0.0000  0.0000  0.5000 (multiplicity 1)
O  0.0716  0.8110  0.9344 (multiplicity 2)
O  0.1068  0.2496  0.7757 (multiplicity 2)
O  0.1271  0.8245  0.6417 (multiplicity 2)
O  0.1582  0.5169  0.3180 (multiplicity 2)
O  0.2311  0.1792  0.2537 (multiplicity 2)
O  0.3364  0.9081  0.3962 (multiplicity 2)
O  0.3537  0.2964  0.5720 (multiplicity 2)
O  0.3816  0.6287  0.8051 (multiplicity 2)
O  0.4577  0.9768  0.1380 (multiplicity 2)
O  0.4711  0.6321  0.1276 (multiplicity 2)

Main lines, low angle first (2θ = 10–80°):
2θ/deg  d_spacing  I/Imax
12.4  7.120  43.3
26.1  3.409  100.0
26.3  3.383  29.9
26.7  3.339  70.6
26.9  3.312  64.8
30.7  2.909  31.8
31.2  2.866  99.1
34.5  2.597  27.4
44.0  2.057  21.4
50.4  1.812  25.1